For Mn5Te3O16, a crystal structure in Alexandria, relaxed with PBE+U gives the theoretical X-ray diffraction stick pattern in this record (Cu Ka).
Kinematic intensities with the Lorentz-polarization factor, no thermal factor.

Most intense lines, 2θ from 10° to 90°, sorted by position:
d (Å), I_rel, h k l
5.553, 18, 0 1 0
5.051, 39, 0 1 -1
4.780, 17, 1 0 -1
4.690, 100, 0 0 2
2.578, 26, 0 2 1
2.510, 18, 2 0 1
2.345, 17, 2 -2 2
2.212, 16, 0 2 -3

Structure:
a = 6.0392 Å, b = 6.3328 Å, c = 9.4501 Å
α = 95.56°, β = 91.08°, γ = 117.97°
Fractional positions:
Mn1 0.0000 0.0000 0.0000
Mn2 0.0175 0.5191 0.8007
Mn3 0.3208 0.6481 0.5316
Mn4 0.5065 0.5124 0.8034
Mn5 0.8511 0.7167 0.2941
Te1 0.3481 0.2133 0.2867
Te2 0.5108 0.0150 0.7908
Te3 0.8429 0.2073 0.2881
O1 0.0116 0.5210 0.3952
O2 0.0501 0.1021 0.4059
O3 0.1420 0.3108 0.1605
O4 0.1755 0.9154 0.1656
O5 0.1986 0.3941 0.6863
O6 0.2075 0.8337 0.6559
O7 0.3508 0.1643 0.9028
O8 0.3676 0.7228 0.8969
O9 0.4975 0.5257 0.3939
O10 0.5376 0.0959 0.3994
O11 0.6242 0.8328 0.6547
O12 0.6601 0.3425 0.1794
O13 0.6676 0.3196 0.7032
O14 0.7075 0.9082 0.1765
O15 0.8345 0.1520 0.9012
O16 0.8425 0.6764 0.9072